# 1
This entry pairs a crystal structure of P4C23 with its theoretical powder diffraction line list. Radiation: a wavelength of 1.5418 Å. Structure: a cell relaxed with PBE.

Main lines, by intensity (10° ≤ 2θ ≤ 90°):
46.5°, intensity 100
29.9°, intensity 94
49.9°, intensity 77
73.2°, intensity 44
81.1°, intensity 34
27.3°, intensity 33
44.7°, intensity 22
39.0°, intensity 18
69.2°, intensity 13
24.3°, intensity 12

Structure:
Cell: 7.311 7.311 7.311 Å, 90.00 90.00 90.00°
Space group Pm-3n (No. 223)
One atom of each set of equivalent atoms:
P1 0.000 0.000 0.000 x2
P2 0.000 0.250 0.500 x6
C1 0.000 0.262 0.241 x24
C2 0.000 0.500 0.250 x6
C3 0.183 0.183 0.183 x16


# 2
This entry pairs a crystal structure of Pm7Sc with its theoretical powder diffraction line list. Radiation: a wavelength of 1.5418 Å. Structure: a cell relaxed with PBE.

Main lines, by intensity (10° ≤ 2θ ≤ 90°):
31.4°, intensity 100
30.6°, intensity 60
31.7°, intensity 46
32.5°, intensity 37
61.7°, intensity 29
46.0°, intensity 27
55.8°, intensity 21
57.7°, intensity 19
38.1°, intensity 18
26.4°, intensity 17

Structure:
Cell: 3.539 11.277 13.218 Å, 90.00 90.00 90.00°
Space group Immm (No. 71)
One atom of each set of equivalent atoms:
Pm1 0.000 0.000 0.000 x2
Pm2 0.000 0.000 0.261 x4
Pm3 0.000 0.260 0.371 x8
Sc1 0.000 0.500 0.000 x2


# 3
This entry pairs a crystal structure of Ca2Fe2Hg with its theoretical powder diffraction line list. Radiation: a wavelength of 1.5418 Å. Structure: a cell relaxed with PBE.

Main lines, by intensity (10° ≤ 2θ ≤ 90°):
30.6°, intensity 100
40.0°, intensity 76
18.3°, intensity 70
35.8°, intensity 70
48.3°, intensity 41
27.6°, intensity 39
37.0°, intensity 37
69.1°, intensity 33
59.5°, intensity 27
65.2°, intensity 23

Structure:
Cell: 3.280 3.280 19.438 Å, 90.00 90.00 90.00°
Space group I4/mmm (No. 139)
One atom of each set of equivalent atoms:
Ca1 0.000 0.000 0.122 x4
Fe1 0.000 0.500 0.250 x4
Hg1 0.000 0.000 0.500 x2